Record 1
Starting from a cell relaxed with GGA-PBE, the powder XRD pattern of SmGa5Pt2Rh was calculated for CuKα.

a b c (Å): 4.2571 4.2571 10.2439
angles (deg): 90.00 90.00 90.00
Atoms (fractional coordinates):
Sm 0.0000 0.0000 0.0000
Ga 0.0000 0.5000 0.3594
Ga 0.0000 0.5000 0.6406
Ga 0.5000 0.0000 0.3594
Ga 0.5000 0.0000 0.6406
Ga 0.5000 0.5000 0.0000
Pt 0.5000 0.5000 0.2299
Pt 0.5000 0.5000 0.7701
Rh 0.0000 0.0000 0.5000

Top 6 peaks for 2θ = 10–80°, low angle first:
| hkl | d [Å] | 2θ/deg | I_rel |
| --- | --- | --- | --- |
| 1 0 2 | 3.274 | 27.2 | 100 |
| 1 1 0 | 3.010 | 29.7 | 23 |
| 1 1 1 | 2.888 | 31.0 | 29 |
| 2 0 0 | 2.129 | 42.5 | 51 |
| 1 1 4 | 1.951 | 46.6 | 67 |
| 2 1 2 | 1.785 | 51.2 | 36 |

Record 2
Starting from a cell relaxed with GGA-PBE, the powder XRD pattern of PmCo2B was calculated for CuKα.

a b c (Å): 3.7571 3.7571 8.1477
angles (deg): 90.00 90.00 90.00
Atoms (fractional coordinates):
Pm 0.2500 0.2500 0.2095
Pm 0.7500 0.7500 0.7905
Co 0.2500 0.2500 0.8469
Co 0.2500 0.7500 0.5000
Co 0.7500 0.2500 0.5000
Co 0.7500 0.7500 0.1531
B 0.2500 0.2500 0.6032
B 0.7500 0.7500 0.3968

Top 6 peaks for 2θ = 10–80°, low angle first:
| hkl | d [Å] | 2θ/deg | I_rel |
| --- | --- | --- | --- |
| 1 0 1 | 3.412 | 26.1 | 53 |
| 0 0 3 | 2.716 | 33.0 | 49 |
| 1 1 0 | 2.657 | 33.7 | 45 |
| 1 1 1 | 2.526 | 35.5 | 54 |
| 1 1 2 | 2.225 | 40.5 | 100 |
| 2 0 0 | 1.879 | 48.5 | 52 |